No. 1
Diffraction record for Pm2Mg16Cd. The powder diffraction line list is computed, not measured: it uses the PBE geometry in Alexandria and copper Kα.

Crystal structure
```
Pm2Mg16Cd
1.0
5.1158 2.9536 5.0657
-5.1158 2.9536 5.0657
0.0000 -5.9073 5.0657
Pm Mg Cd
2 16 1
Cartesian
0.0000 0.0000 0.0000
0.0000 0.0000 5.2328
0.0000 -2.8677 2.8384
-2.4835 1.4339 2.8384
-2.5788 -1.4889 7.6770
0.0000 -3.0122 7.4460
-2.6086 1.5061 7.4460
-1.5442 -2.6736 10.2088
-3.0875 -0.0005 10.2088
2.4835 1.4339 2.8384
0.0000 0.0000 8.7948
1.5442 -2.6736 10.2088
-1.5433 2.6741 10.2088
2.5788 -1.4888 7.6770
0.0000 2.9777 7.6770
2.6086 1.5061 7.4460
3.0875 -0.0005 10.2088
1.5433 2.6741 10.2088
0.0000 0.0000 11.7724
```

Principal peaks in the range 2θ = 10–90°, low angle first:
2θ (°), Rel. int.
15.36, 17.8
17.33, 56.3
24.73, 42.6
30.26, 46.0
31.01, 16.3
31.11, 14.9
35.13, 100.0
35.79, 35.5
40.06, 16.8
63.44, 25.8

No. 2
Diffraction record for PmMg2Cd6. The powder diffraction line list is computed, not measured: it uses the PBE geometry in Alexandria and copper Kα.

Crystal structure
```
PmMg2Cd6
1.0
8.0702 -5.5845 0.0000
8.0702 5.5845 0.0000
0.0000 0.0000 4.8415
Pm Mg Cd
2 4 12
Cartesian
8.0702 3.5935 3.6311
8.0702 -3.5935 1.2104
3.5298 1.8142 1.2104
3.5298 -1.8142 3.6311
12.6107 1.8142 1.2104
12.6107 -1.8142 3.6311
1.9663 0.8184 3.6311
1.9663 -0.8184 1.2104
5.2706 0.8948 3.6311
6.6227 1.8355 1.2104
5.2706 -0.8948 1.2104
9.5178 1.8355 1.2104
6.6227 -1.8355 3.6311
10.8699 0.8948 3.6311
9.5178 -1.8355 3.6311
10.8699 -0.8948 1.2104
14.1742 0.8184 3.6311
14.1742 -0.8184 1.2104
```

Principal peaks in the range 2θ = 10–90°, low angle first:
2θ (°), Rel. int.
19.33, 16.2
22.03, 13.4
26.76, 31.2
33.05, 18.9
34.34, 61.0
36.85, 19.3
37.16, 100.0
41.46, 13.2
53.32, 13.7
65.18, 12.8

No. 3
Diffraction record for Pm4MgCd3. The powder diffraction line list is computed, not measured: it uses the PBE geometry in Alexandria and copper Kα.

Crystal structure
```
Pm4MgCd3
1.0
3.5635 0.0000 0.0000
0.0000 5.0162 0.0000
0.0000 0.0000 12.6758
Pm Mg Cd
4 1 3
Cartesian
0.0000 0.0000 0.0000
0.0000 2.5081 4.0961
1.7817 0.0000 6.2918
1.7817 2.5081 10.4959
0.0000 0.0000 9.2104
0.0000 2.5081 7.5389
1.7817 0.0000 2.9233
1.7817 2.5081 1.1911
```

Principal peaks in the range 2θ = 10–90°, low angle first:
2θ (°), Rel. int.
22.61, 16.2
31.60, 100.0
32.88, 50.2
33.45, 71.4
35.80, 37.5
37.57, 21.5
49.39, 31.9
57.03, 13.9
61.72, 14.5
62.61, 22.7

No. 4
Diffraction record for Pm2MgCd. The powder diffraction line list is computed, not measured: it uses the PBE geometry in Alexandria and copper Kα.

Crystal structure
```
Pm2MgCd
1.0
0.0000 3.8422 3.8422
3.8422 0.0000 3.8422
3.8422 3.8422 0.0000
Pm Mg Cd
2 1 1
Cartesian
1.9211 1.9211 1.9211
5.7633 5.7633 5.7633
0.0000 0.0000 0.0000
3.8422 3.8422 3.8422
```

Principal peaks in the range 2θ = 10–90°, low angle first:
2θ (°), Rel. int.
20.01, 9.7
23.15, 15.0
32.97, 100.0
38.87, 5.3
40.67, 4.7
47.32, 18.0
53.31, 6.6
58.88, 37.2
69.15, 11.4
78.76, 15.8

No. 5
Diffraction record for Pm2MgCd6. The powder diffraction line list is computed, not measured: it uses the PBE geometry in Alexandria and copper Kα.

Crystal structure
```
Pm2MgCd6
1.0
5.4465 -3.1509 0.0000
5.4465 3.1509 0.0000
-0.0179 0.0000 6.5072
Pm Mg Cd
2 1 6
Cartesian
1.8074 0.0000 2.3562
9.0678 0.0000 4.1510
5.4376 0.0000 3.2536
4.4811 1.6653 1.1119
3.5167 0.0000 5.3877
6.3942 1.6653 5.3952
4.4811 -1.6653 1.1119
7.3586 0.0000 1.1195
6.3942 -1.6653 5.3952
```

Principal peaks in the range 2θ = 10–90°, low angle first:
2θ (°), Rel. int.
27.41, 11.9
31.57, 31.9
32.04, 57.6
32.86, 29.5
35.70, 100.0
35.78, 13.9
51.11, 10.5
52.53, 13.6
58.66, 24.2
70.57, 11.0

No. 6
Diffraction record for Pm2Mg3Cd2. The powder diffraction line list is computed, not measured: it uses the PBE geometry in Alexandria and copper Kα.

Crystal structure
```
Pm2Mg3Cd2
1.0
2.4833 -11.0423 0.0000
2.4833 11.0423 0.0000
0.0000 0.0000 3.3353
Pm Mg Cd
2 3 2
Cartesian
2.4833 7.6195 0.0000
2.4833 -7.6195 0.0000
0.0000 0.0000 0.0000
2.4833 1.5526 1.6676
2.4833 -1.5526 1.6676
2.4833 4.6921 1.6676
2.4833 -4.6921 1.6676
```

Principal peaks in the range 2θ = 10–90°, low angle first:
2θ (°), Rel. int.
31.33, 37.9
32.59, 59.1
33.65, 100.0
34.61, 93.6
36.17, 47.4
36.35, 35.9
38.37, 28.5
52.22, 25.2
62.82, 25.3
66.12, 29.6

No. 7
Diffraction record for Pr3Mg7Cd2. The powder diffraction line list is computed, not measured: it uses the PBE geometry in Alexandria and copper Kα.

Crystal structure
```
Pr3Mg7Cd2
1.0
3.0417 1.7561 9.8367
-3.0417 1.7561 9.8367
0.0000 -3.5123 9.8367
Pr Mg Cd
3 7 2
Cartesian
0.0000 0.0000 0.0000
0.0000 0.0000 4.2623
0.0000 0.0000 25.2477
-1.5337 -0.8855 12.2431
0.0000 -1.7709 17.2669
-1.5337 0.8855 17.2669
0.0000 0.0000 14.7550
1.5337 -0.8855 12.2431
0.0000 1.7709 12.2431
1.5337 0.8855 17.2669
0.0000 0.0000 9.8649
0.0000 0.0000 19.6450
```

Principal peaks in the range 2θ = 10–90°, low angle first:
2θ (°), Rel. int.
18.04, 37.9
20.72, 13.9
27.09, 24.0
29.36, 75.1
34.67, 100.0
40.44, 12.5
52.08, 15.0
55.59, 39.1
60.91, 16.1
87.05, 15.0

No. 8
Diffraction record for PrMg9Cd2. The powder diffraction line list is computed, not measured: it uses the PBE geometry in Alexandria and copper Kα.

Crystal structure
```
PrMg9Cd2
1.0
-6.0589 6.0589 3.8796
6.0589 -6.0589 3.8796
6.0589 6.0589 -3.8796
Pr Mg Cd
2 18 4
Cartesian
6.0589 3.0294 0.9699
0.0000 3.0294 2.9097
6.0589 -3.0294 2.9097
4.5828 -0.5788 1.3800
7.5349 -0.5788 1.3800
2.4506 1.5534 0.5599
9.6671 1.5534 0.5599
4.5828 5.4800 -1.3800
1.4760 -0.5788 2.4997
2.4506 4.5055 0.5599
3.6083 -1.5534 4.4395
2.4506 7.6122 -0.5599
3.6083 1.5534 3.3198
4.5828 6.6377 1.3800
1.4760 0.5788 5.2596
-3.6083 4.5055 3.3198
3.6083 4.5055 3.3198
-1.4760 6.6377 2.4997
1.4760 6.6377 2.4997
0.0000 9.0883 0.9699
0.0000 0.0000 0.0000
3.0294 3.0294 -1.9398
3.0294 -3.0294 1.9398
0.0000 6.0589 0.0000
```

Principal peaks in the range 2θ = 10–90°, low angle first:
2θ (°), Rel. int.
19.98, 100.0
27.30, 25.4
28.95, 72.2
29.49, 37.5
32.85, 54.0
33.06, 32.5
35.49, 31.7
40.61, 44.8
41.80, 25.9
51.71, 34.5